No. 1
# BaCaI4
Computed X-ray diffraction stick pattern, λ = 1.5418 Å (Cu Kα). Input: a cell relaxed with PBE.

```
data_BaCaI4
_cell_length_a 15.952
_cell_length_b 14.312
_cell_length_c 13.317
_cell_angle_alpha 90.00
_cell_angle_beta 115.63
_cell_angle_gamma 90.00
_space_group_name_H-M_alt 'C 1 2/m 1'
_space_group_IT_number 12
_space_group_name_Hall '-C 2y'
loop_
_atom_site_label
_atom_site_fract_x
_atom_site_fract_y
_atom_site_fract_z
_atom_site_occupancy
Ba1 0.000 0.201 0.000 1
Ba2 0.200 0.000 0.355 1
Ca1 0.000 0.182 0.500 1
Ca2 0.183 0.000 0.841 1
I1 0.006 0.148 0.744 1
I2 0.143 0.000 0.581 1
I3 0.153 0.000 0.069 1
I4 0.157 0.319 0.576 1
I5 0.180 0.344 0.088 1
```

Largest 10 diffraction maxima, most intense first, 2θ = 15–90°:
d/Å	intensity	(hkl)
3.382	100.0	3 3 0
3.329	56.2	2 0 -4
2.386	53.2	5 3 -4
3.878	39.0	1 3 -2
2.358	36.4	1 3 4
3.860	19.9	2 0 2
3.922	19.3	4 0 -2
2.397	18.9	6 0 0
1.939	16.7	2 6 -4
5.072	14.5	2 2 0

No. 2
# Ba2CaI6
Computed X-ray diffraction stick pattern, λ = 1.5418 Å (Cu Kα). Input: a cell relaxed with PBE.

```
data_Ba2CaI6
_cell_length_a 23.739
_cell_length_b 9.440
_cell_length_c 8.295
_cell_angle_alpha 90.00
_cell_angle_beta 90.00
_cell_angle_gamma 90.00
_space_group_name_H-M_alt 'P b c n'
_space_group_IT_number 60
_space_group_name_Hall '-P 2n 2ab'
loop_
_atom_site_label
_atom_site_fract_x
_atom_site_fract_y
_atom_site_fract_z
_atom_site_occupancy
Ba1 0.159 0.166 0.233 1
Ca1 0.000 0.351 0.750 1
I1 0.076 0.117 0.579 1
I2 0.076 0.421 0.051 1
I3 0.239 0.110 0.887 1
```

Largest 10 diffraction maxima, most intense first, 2θ = 15–90°:
d/Å	intensity	(hkl)
3.642	100.0	3 2 1
3.673	53.6	3 0 2
2.848	50.5	6 2 1
2.387	43.7	0 2 3
4.896	33.7	3 1 1
2.863	32.2	6 0 2
2.219	22.7	9 2 1
3.957	15.3	6 0 0
3.118	13.3	0 2 2
2.360	13.0	0 4 0

No. 3
# BaCaI4
Computed X-ray diffraction stick pattern, λ = 1.5418 Å (Cu Kα). Input: a cell relaxed with PBE.

```
data_BaCaI4
_cell_length_a 9.926
_cell_length_b 11.081
_cell_length_c 11.083
_cell_angle_alpha 90.00
_cell_angle_beta 90.00
_cell_angle_gamma 90.00
_space_group_name_H-M_alt 'P n m a'
_space_group_IT_number 62
_space_group_name_Hall '-P 2ac 2n'
loop_
_atom_site_label
_atom_site_fract_x
_atom_site_fract_y
_atom_site_fract_z
_atom_site_occupancy
Ba1 0.247 0.250 0.250 1
Ca1 0.009 0.250 0.749 1
I1 0.003 0.535 0.739 1
I2 0.239 0.750 0.066 1
I3 0.246 0.750 0.435 1
```

Largest 10 diffraction maxima, most intense first, 2θ = 15–90°:
d/Å	intensity	(hkl)
3.697	100.0	2 2 0
2.863	42.6	2 1 3
2.311	40.6	2 3 3
3.505	35.2	0 1 3
5.541	32.0	0 0 2
2.770	27.3	0 4 0
1.848	23.9	0 0 6
1.397	22.2	2 7 3
2.481	20.3	4 0 0
2.217	16.4	2 2 4

No. 4
# Ba6CaI14
Computed X-ray diffraction stick pattern, λ = 1.5418 Å (Cu Kα). Input: a cell relaxed with PBE.

```
data_Ba6CaI14
_cell_length_a 24.190
_cell_length_b 20.876
_cell_length_c 8.471
_cell_angle_alpha 90.00
_cell_angle_beta 90.00
_cell_angle_gamma 90.00
_space_group_name_H-M_alt 'C m c e'
_space_group_IT_number 64
_space_group_name_Hall '-C 2ac 2'
loop_
_atom_site_label
_atom_site_fract_x
_atom_site_fract_y
_atom_site_fract_z
_atom_site_occupancy
Ba1 0.000 0.193 0.240 1
Ba2 0.149 0.098 0.688 1
Ca1 0.000 0.000 0.000 1
I1 0.000 0.122 0.796 1
I2 0.092 0.058 0.229 1
I3 0.101 0.238 0.505 1
I4 0.246 0.000 0.500 1
I5 0.250 0.201 0.750 1
```

Largest 10 diffraction maxima, most intense first, 2θ = 15–90°:
d/Å	intensity	(hkl)
3.293	100.0	4 2 2
2.986	51.1	6 4 1
3.018	50.6	4 6 0
3.191	31.9	6 4 0
3.289	26.2	0 4 2
2.116	25.3	0 0 4
3.110	23.4	2 6 1
5.778	20.5	2 2 1
3.437	17.5	6 2 1
3.218	15.6	0 6 1